1.
Starting from the PBE geometry in Alexandria, the PXRD pattern of Rb2CuAsRu was simulated for copper Kα.
Peak positions follow from Bragg's law for the DFT cell and can differ from measured ones.

Largest 6 diffraction maxima, by intensity, 5° ≤ 2θ ≤ 70°:
2θ 28.3, intensity 100
2θ 27.5, intensity 97
2θ 48.1, intensity 45
2θ 40.5, intensity 37
2θ 49.6, intensity 37
2θ 56.8, intensity 27

Cell and atoms:
```
Rb2CuAsRu
1.0
6.3040 0.0000 0.0000
0.0000 6.3040 0.0000
0.0000 0.0000 4.7279
Rb Cu As Ru
2 1 1 1
Cartesian
0.0000 3.1520 0.0000
3.1520 0.0000 0.0000
0.0000 0.0000 0.0000
3.1520 3.1520 2.3639
0.0000 0.0000 2.3639
```



2.
Starting from the PBE geometry in Alexandria, the PXRD pattern of Mn2ZnAu3 was simulated for copper Kα.
Peak positions follow from Bragg's law for the DFT cell and can differ from measured ones.

Largest 6 diffraction maxima, by intensity, 5° ≤ 2θ ≤ 70°:
2θ 39.5, intensity 100
2θ 39.6, intensity 100
2θ 40.2, intensity 96
2θ 27.2, intensity 36
2θ 28.0, intensity 34
2θ 28.2, intensity 34

Cell and atoms:
```
Mn2ZnAu3
1.0
4.5667 0.0000 0.0000
0.0000 6.3356 0.0000
-2.0884 0.0000 6.8400
Mn Zn Au
4 2 6
Cartesian
0.0000 0.0000 0.0000
0.0000 3.1678 0.0000
0.0675 0.0000 4.5826
2.4108 0.0000 2.2574
0.0516 3.1678 4.5925
2.4267 3.1678 2.2476
0.1353 1.5804 2.2941
0.1353 4.7552 2.2941
2.2833 1.5775 0.0000
2.2833 4.7581 0.0000
2.3430 1.5804 4.5459
2.3430 4.7552 4.5459
```



3.
Starting from the PBE geometry in Alexandria, the PXRD pattern of Tb6ZnPt was simulated for copper Kα.
Peak positions follow from Bragg's law for the DFT cell and can differ from measured ones.

Largest 6 diffraction maxima, by intensity, 5° ≤ 2θ ≤ 70°:
2θ 32.7, intensity 100
2θ 35.6, intensity 49
2θ 62.1, intensity 32
2θ 51.3, intensity 17
2θ 56.3, intensity 11
2θ 40.4, intensity 11

Cell and atoms:
```
Tb6ZnPt
1.0
5.0414 0.0000 0.0000
0.0000 5.0414 0.0000
0.0000 0.0000 17.1605
Tb Zn Pt
12 2 2
Cartesian
0.0000 0.0000 4.2439
0.0000 0.0000 12.9166
0.0000 2.5207 1.7261
0.0000 2.5207 6.8542
0.0000 2.5207 10.3063
0.0000 2.5207 15.4344
2.5207 0.0000 1.7261
2.5207 0.0000 6.8542
2.5207 0.0000 10.3063
2.5207 0.0000 15.4344
2.5207 2.5207 4.3364
2.5207 2.5207 12.8241
0.0000 0.0000 0.0000
2.5207 2.5207 8.5803
0.0000 0.0000 8.5803
2.5207 2.5207 0.0000
```



4.
Starting from the PBE geometry in Alexandria, the PXRD pattern of Tl5Cd2Pb2 was simulated for copper Kα.
Peak positions follow from Bragg's law for the DFT cell and can differ from measured ones.

Largest 6 diffraction maxima, by intensity, 5° ≤ 2θ ≤ 70°:
2θ 31.5, intensity 100
2θ 31.9, intensity 97
2θ 35.1, intensity 37
2θ 35.6, intensity 36
2θ 61.2, intensity 29
2θ 39.5, intensity 28

Cell and atoms:
```
Tl5Cd2Pb2
1.0
7.6712 -2.2841 0.0000
7.6712 2.2841 0.0000
-2.3948 0.0000 7.5566
Tl Cd Pb
5 2 2
Cartesian
0.0000 0.0000 0.0000
0.1775 0.0000 5.0259
5.1218 0.0000 5.0330
7.8257 0.0000 2.5236
12.7700 0.0000 2.5308
2.6401 0.0000 2.6019
10.3074 0.0000 4.9547
2.6559 0.0000 7.4883
10.2917 0.0000 0.0683
```



5.
Starting from the PBE geometry in Alexandria, the PXRD pattern of Dy6Sc7 was simulated for copper Kα.
Peak positions follow from Bragg's law for the DFT cell and can differ from measured ones.

Largest 6 diffraction maxima, by intensity, 5° ≤ 2θ ≤ 70°:
2θ 28.4, intensity 100
2θ 32.7, intensity 69
2θ 31.3, intensity 61
2θ 33.7, intensity 50
2θ 52.1, intensity 29
2θ 53.7, intensity 26

Cell and atoms:
```
Dy6Sc7
1.0
3.1438 1.8151 11.1908
-3.1438 1.8151 11.1908
0.0000 -3.6301 11.1908
Dy Sc
6 7
Cartesian
0.0000 0.0000 1.5944
0.0000 0.0000 5.0426
0.0000 0.0000 11.1692
0.0000 0.0000 22.4032
0.0000 0.0000 28.5298
0.0000 0.0000 31.9780
-1.5778 -0.9109 14.1953
0.0000 -1.8218 19.3771
-1.5777 0.9109 19.3771
0.0000 0.0000 16.7862
1.5778 -0.9109 14.1954
0.0000 1.8218 14.1954
1.5778 0.9109 19.3770
```



6.
Starting from the PBE geometry in Alexandria, the PXRD pattern of Tl4CuF5 was simulated for copper Kα.
Peak positions follow from Bragg's law for the DFT cell and can differ from measured ones.

Largest 6 diffraction maxima, by intensity, 5° ≤ 2θ ≤ 70°:
2θ 29.4, intensity 100
2θ 28.4, intensity 58
2θ 51.0, intensity 42
2θ 43.5, intensity 32
2θ 52.8, intensity 21
2θ 40.7, intensity 18

Cell and atoms:
```
Tl4CuF5
1.0
-4.9624 4.9624 2.0790
4.9624 -4.9624 2.0790
4.9624 4.9624 -2.0790
Tl Cu F
4 1 5
Cartesian
7.2034 0.7135 0.0000
0.7135 2.7213 0.0000
4.2488 2.2410 2.0790
-2.2410 4.2488 2.0790
0.0000 0.0000 2.0790
0.0000 0.0000 0.0000
6.5237 3.2365 0.0000
3.2365 3.4010 0.0000
1.7259 1.5614 2.0790
-1.5614 1.7259 2.0790
```



7.
Starting from the PBE geometry in Alexandria, the PXRD pattern of La3Ga5Cu6 was simulated for copper Kα.
Peak positions follow from Bragg's law for the DFT cell and can differ from measured ones.

Largest 6 diffraction maxima, by intensity, 5° ≤ 2θ ≤ 70°:
2θ 35.2, intensity 100
2θ 40.6, intensity 61
2θ 36.5, intensity 43
2θ 36.7, intensity 33
2θ 28.7, intensity 28
2θ 39.1, intensity 27

Cell and atoms:
```
La3Ga5Cu6
1.0
-2.2197 4.4418 6.5582
2.2197 -4.4418 6.5582
2.2197 4.4418 -6.5582
La Ga Cu
3 5 6
Cartesian
0.0000 0.0000 0.0000
0.0000 0.0000 3.9943
0.0000 0.0000 9.1222
2.2197 -1.3120 2.1228
2.2197 1.3120 2.1228
0.0000 4.4418 0.0000
0.0000 3.1298 4.4355
0.0000 5.7538 4.4355
2.2197 -1.9449 4.8544
2.2197 2.7047 0.0000
0.0000 2.4969 1.7039
2.2197 1.9449 4.8544
0.0000 1.7371 6.5582
0.0000 6.3866 1.7039
```



8.
Starting from the PBE geometry in Alexandria, the PXRD pattern of K3RuF12 was simulated for copper Kα.
Peak positions follow from Bragg's law for the DFT cell and can differ from measured ones.

Largest 6 diffraction maxima, by intensity, 5° ≤ 2θ ≤ 70°:
2θ 11.6, intensity 100
2θ 13.0, intensity 78
2θ 22.6, intensity 25
2θ 23.3, intensity 20
2θ 38.4, intensity 10
2θ 18.8, intensity 10

Cell and atoms:
```
K3RuF12
1.0
4.7300 -6.4750 0.0000
4.7300 6.4750 0.0000
-0.2251 0.0000 6.7988
K Ru F
3 1 12
Cartesian
0.0000 0.0000 0.0000
2.2524 3.2375 3.3994
2.2524 -3.2375 3.3994
-0.1126 0.0000 3.3994
1.0600 1.1489 2.2547
1.0145 1.1510 4.5814
1.0600 -1.1489 2.2547
1.0145 -1.1510 4.5814
4.6205 2.0069 2.5738
4.6144 2.0069 4.2250
4.6205 -2.0069 2.5738
4.6144 -2.0069 4.2250
8.2204 1.1510 2.2174
8.1748 1.1489 4.5441
8.2204 -1.1510 2.2174
8.1748 -1.1489 4.5441
```